[1]
Diffraction record for SrTb4TmS8. The powder diffraction line list is simulated, not measured: it uses a crystal structure in Alexandria, relaxed with GGA-PBE and Cu Ka.
Neutral-atom scattering factors, no anomalous dispersion.

```
SrTb4TmS8
1.0
4.0917 2.3624 6.6409
-4.0917 2.3624 6.6409
0.0000 -4.7247 6.6409
Sr Tb Tm S
1 4 1 8
direct
0.0000 0.0000 0.0000 Sr
0.1188 0.6262 0.6262 Tb
0.2490 0.2490 0.2490 Tb
0.6262 0.1188 0.6262 Tb
0.6262 0.6262 0.1188 Tb
0.6262 0.6262 0.6262 Tm
0.3817 0.3817 0.3817 S
0.3850 0.3850 0.8497 S
0.3850 0.8497 0.3850 S
0.4172 0.8574 0.8574 S
0.8497 0.3850 0.3850 S
0.8574 0.4172 0.8574 S
0.8574 0.8574 0.4172 S
0.8607 0.8607 0.8607 S
```

Top 12 peaks for 10 to 80 degrees two-theta, in order of rising 2θ:
- 13.27°, intensity 28
- 21.76°, intensity 27
- 25.56°, intensity 100
- 25.65°, intensity 35
- 26.70°, intensity 18
- 30.97°, intensity 37
- 40.56°, intensity 48
- 44.27°, intensity 41
- 44.46°, intensity 41
- 51.85°, intensity 15
- 61.59°, intensity 20
- 64.55°, intensity 13



[2]
Diffraction record for Tb8Pm3Sm3. The powder diffraction line list is simulated, not measured: it uses a crystal structure in Alexandria, relaxed with GGA-PBE and Cu Ka.
Neutral-atom scattering factors, no anomalous dispersion.

```
Tb8Pm3Sm3
1.0
-2.8452 5.4220 7.5810
2.8452 -5.4220 7.5810
2.8452 5.4220 -7.5810
Tb Pm Sm
8 3 3
direct
0.0565 0.8969 0.1596 Tb
0.0608 0.7210 0.3397 Tb
0.2626 0.1031 0.1596 Tb
0.3813 0.7210 0.6603 Tb
0.6187 0.2790 0.3397 Tb
0.7374 0.8969 0.8404 Tb
0.9392 0.2790 0.6603 Tb
0.9435 0.1031 0.8404 Tb
0.3160 0.3160 0.0000 Pm
0.5000 0.0000 0.5000 Pm
0.6840 0.6840 0.0000 Pm
0.0000 0.5000 0.5000 Sm
0.2995 0.5000 0.7995 Sm
0.7005 0.5000 0.2005 Sm
```

Top 12 peaks for 10 to 80 degrees two-theta, in order of rising 2θ:
- 28.80°, intensity 13
- 29.49°, intensity 32
- 30.40°, intensity 29
- 31.44°, intensity 53
- 31.61°, intensity 100
- 33.49°, intensity 55
- 44.30°, intensity 21
- 50.50°, intensity 11
- 56.08°, intensity 20
- 57.26°, intensity 21
- 60.70°, intensity 15
- 61.95°, intensity 16



[3]
Diffraction record for Dy3RhO6. The powder diffraction line list is simulated, not measured: it uses a crystal structure in Alexandria, relaxed with GGA-PBE and Cu Ka.
Neutral-atom scattering factors, no anomalous dispersion.

```
Dy3RhO6
1.0
4.7710 2.7545 3.5471
-4.7710 2.7545 3.5471
0.0000 -5.5090 3.5471
Dy Rh O
6 2 12
direct
0.0681 0.5797 0.7581 Dy
0.2419 0.9319 0.4203 Dy
0.4203 0.2419 0.9319 Dy
0.5797 0.7581 0.0681 Dy
0.7581 0.0681 0.5797 Dy
0.9319 0.4203 0.2419 Dy
0.0000 0.0000 0.0000 Rh
0.5000 0.5000 0.5000 Rh
0.0438 0.9131 0.6948 O
0.0869 0.3052 0.9562 O
0.1942 0.5815 0.4326 O
0.3052 0.9562 0.0869 O
0.4185 0.5674 0.8058 O
0.4326 0.1942 0.5815 O
0.5674 0.8058 0.4185 O
0.5815 0.4326 0.1942 O
0.6948 0.0438 0.9131 O
0.8058 0.4185 0.5674 O
0.9131 0.6948 0.0438 O
0.9562 0.0868 0.3052 O
```

Top 12 peaks for 10 to 80 degrees two-theta, in order of rising 2θ:
- 25.11°, intensity 42
- 27.33°, intensity 14
- 29.81°, intensity 100
- 31.43°, intensity 31
- 33.26°, intensity 67
- 42.97°, intensity 18
- 44.74°, intensity 40
- 50.62°, intensity 31
- 55.26°, intensity 14
- 57.32°, intensity 18
- 59.88°, intensity 19
- 61.92°, intensity 13



[4]
Diffraction record for PrCd3Au. The powder diffraction line list is simulated, not measured: it uses a crystal structure in Alexandria, relaxed with GGA-PBE and Cu Ka.
Neutral-atom scattering factors, no anomalous dispersion.

```
PrCd3Au
1.0
5.6548 0.0000 0.0000
0.0000 6.0564 0.0000
-2.5730 0.0000 7.0949
Pr Cd Au
2 6 2
direct
0.2325 0.2500 0.1357 Pr
0.7675 0.7500 0.8643 Pr
0.2001 0.0108 0.6943 Cd
0.2001 0.4892 0.6943 Cd
0.3369 0.7500 0.4103 Cd
0.6631 0.2500 0.5897 Cd
0.7999 0.5108 0.3057 Cd
0.7999 0.9892 0.3057 Cd
0.3393 0.7500 0.0405 Au
0.6607 0.2500 0.9595 Au
```

Top 12 peaks for 10 to 80 degrees two-theta, in order of rising 2θ:
- 12.48°, intensity 39
- 29.07°, intensity 56
- 32.14°, intensity 56
- 33.72°, intensity 75
- 34.29°, intensity 100
- 34.86°, intensity 64
- 35.92°, intensity 39
- 36.93°, intensity 56
- 37.73°, intensity 59
- 38.44°, intensity 87
- 38.97°, intensity 71
- 39.11°, intensity 66



What is the formula in the third record?
Dy3RhO6